# 1
# CsMg2Cu2P3
Theoretical powder X-ray diffraction pattern, Cu Kα X-rays. Input: the PBE geometry in OQMD.
Peak positions follow from Bragg's law for the DFT cell and can differ from measured ones.

Top 10 peaks for 10 to 90 degrees two-theta, low angle first:
Position (°2θ)  I/Imax  hkl
23.2  37  1 0 1
26.3  33  0 0 3
27.8  100  1 0 2
31.8  60  1 1 1
35.4  27  1 1 2
43.7  43  2 0 0
47.3  51  1 1 4
51.7  20  2 0 3
52.6  31  2 1 2
82.9  19  3 1 4

Atomic structure:
Unit cell a=4.141 b=4.141 c=10.177 alpha=90.00 beta=90.00 gamma=90.00
Space group P-4m2 (No. 115)
One atom of each set of equivalent atoms:
Cs 0.000 0.000 0.000 (multiplicity 1)
Mg 0.000 0.500 0.645 (multiplicity 2)
Cu 0.000 0.500 0.344 (multiplicity 2)
P 0.000 0.000 0.500 (multiplicity 1)
P 0.500 0.500 0.225 (multiplicity 2)



# 2
# Hf2CuIr
Theoretical powder X-ray diffraction pattern, Cu Kα X-rays. Input: the PBE geometry in OQMD.
Peak positions follow from Bragg's law for the DFT cell and can differ from measured ones.

Top 10 peaks for 10 to 90 degrees two-theta, low angle first:
Position (°2θ)  I/Imax  hkl
19.5  20  1 0 1
38.2  100  2 2 0
39.6  91  2 0 2
39.9  89  0 2 2
54.8  18  4 0 0
55.6  17  0 4 0
59.7  14  0 0 4
69.9  34  4 2 2
70.4  33  2 4 2
73.2  30  2 2 4

Atomic structure:
Unit cell a=6.700 b=6.612 c=6.193 alpha=90.00 beta=90.00 gamma=90.00
Space group Pnma (No. 62)
One atom of each set of equivalent atoms:
Hf 0.250 0.000 0.250 (multiplicity 8)
Cu 0.002 0.250 0.001 (multiplicity 4)
Ir 0.000 0.250 0.499 (multiplicity 4)



# 3
# NdAlGaPdAu
Theoretical powder X-ray diffraction pattern, Cu Kα X-rays. Input: the PBE geometry in OQMD.
Peak positions follow from Bragg's law for the DFT cell and can differ from measured ones.

Top 10 peaks for 10 to 90 degrees two-theta, low angle first:
Position (°2θ)  I/Imax  hkl
29.7  28  1 1 1
33.2  32  1 0 3
33.5  100  1 1 2
40.5  51  2 0 0
45.9  17  1 1 4
49.2  13  1 0 5
53.4  16  2 1 3
58.7  17  2 2 0
62.2  15  1 1 6
69.3  24  3 1 2

Atomic structure:
Unit cell a=4.450 b=4.450 c=10.169 alpha=90.00 beta=90.00 gamma=90.00
Space group P4/nmm (No. 129, origin choice 2)
One atom of each set of equivalent atoms:
Nd 0.250 0.250 0.242 (multiplicity 2)
Al 0.250 0.250 0.636 (multiplicity 2)
Ga 0.250 0.750 0.000 (multiplicity 2)
Pd 0.250 0.250 0.875 (multiplicity 2)
Au 0.250 0.750 0.500 (multiplicity 2)